MnTl: theoretical X-ray powder pattern (a wavelength of 1.5418 Å), based on DFT lattice parameters and positions (GGA-PBE).

Unit cell a=3.206 b=3.206 c=9.742 alpha=90.00 beta=90.00 gamma=120.00
Fractional positions:
Mn1 0.333 0.667 0.102
Mn2 0.667 0.333 0.898
Tl1 0.333 0.667 0.651
Tl2 0.667 0.333 0.349

Principal peaks in the range 5 to 70 degrees two-theta, by intensity:
two_theta	Rel. int.
37.28	100
9.08	45
33.56	40
32.24	27
27.47	24
57.49	21
57.81	19
49.81	17
36.91	16
64.87	14

MnTl5: theoretical X-ray powder pattern (a wavelength of 1.5418 Å), based on DFT lattice parameters and positions (GGA-PBE).

Unit cell a=6.221 b=6.221 c=8.443 alpha=103.80 beta=103.80 gamma=31.90
Fractional positions:
Mn1 0.000 0.000 0.000
Tl1 0.258 0.258 0.577
Tl2 0.296 0.296 0.979
Tl3 0.547 0.547 0.734
Tl4 0.663 0.663 0.224
Tl5 0.949 0.949 0.360

Principal peaks in the range 5 to 70 degrees two-theta, by intensity:
two_theta	Rel. int.
33.81	100
35.03	92
30.06	77
29.70	67
32.65	53
28.60	41
52.37	32
38.53	28
62.11	22
62.48	22

Tm3MnTl: theoretical X-ray powder pattern (a wavelength of 1.5418 Å), based on DFT lattice parameters and positions (GGA-PBE).

Unit cell a=8.568 b=3.746 c=8.643 alpha=90.00 beta=115.70 gamma=90.00
Fractional positions:
Tm1 0.038 0.250 0.218
Tm2 0.328 0.250 0.893
Tm3 0.329 0.750 0.567
Tm4 0.671 0.250 0.433
Tm5 0.672 0.750 0.107
Tm6 0.962 0.750 0.782
Mn1 0.052 0.250 0.564
Mn2 0.948 0.750 0.436
Tl1 0.334 0.750 0.196
Tl2 0.666 0.250 0.804

Principal peaks in the range 5 to 70 degrees two-theta, by intensity:
two_theta	Rel. int.
30.84	100
31.76	95
34.86	92
34.34	75
61.18	46
48.61	44
33.18	41
37.02	38
31.23	38
58.88	36

Mn4Tl2Zn: theoretical X-ray powder pattern (a wavelength of 1.5418 Å), based on DFT lattice parameters and positions (GGA-PBE).

Unit cell a=7.695 b=7.695 c=7.695 alpha=145.09 beta=145.09 gamma=50.20
Fractional positions:
Mn1 0.000 0.500 0.500
Mn2 0.175 0.175 0.000
Mn3 0.500 0.000 0.500
Mn4 0.825 0.825 0.000
Tl1 0.371 0.371 0.000
Tl2 0.629 0.629 0.000
Zn1 0.000 0.000 0.000

Principal peaks in the range 5 to 70 degrees two-theta, by intensity:
two_theta	Rel. int.
27.29	100
37.74	89
39.02	52
20.26	25
55.38	24
69.85	23
56.37	17
48.24	17
63.74	15
67.34	10

TmMn3: theoretical X-ray powder pattern (a wavelength of 1.5418 Å), based on DFT lattice parameters and positions (GGA-PBE).

Unit cell a=5.024 b=5.024 c=8.585 alpha=105.06 beta=105.06 gamma=62.62
Fractional positions:
Tm1 0.000 0.000 0.000
Tm2 0.142 0.142 0.427
Tm3 0.858 0.858 0.573
Mn1 0.076 0.576 0.238
Mn2 0.341 0.341 0.002
Mn3 0.418 0.418 0.748
Mn4 0.424 0.924 0.762
Mn5 0.500 0.500 0.500
Mn6 0.576 0.076 0.238
Mn7 0.582 0.582 0.252
Mn8 0.659 0.659 0.998
Mn9 0.924 0.424 0.762

Principal peaks in the range 5 to 70 degrees two-theta, by intensity:
two_theta	Rel. int.
35.80	100
41.01	69
32.23	61
41.73	59
42.80	51
40.68	44
34.35	35
33.51	31
44.32	30
67.40	30

TmMn12: theoretical X-ray powder pattern (a wavelength of 1.5418 Å), based on DFT lattice parameters and positions (GGA-PBE).

Unit cell a=6.280 b=6.280 c=6.280 alpha=98.00 beta=98.00 gamma=136.20
Fractional positions:
Tm1 0.000 0.000 0.000
Mn1 0.000 0.000 0.500
Mn2 0.000 0.365 0.365
Mn3 0.000 0.500 0.000
Mn4 0.000 0.635 0.635
Mn5 0.272 0.500 0.772
Mn6 0.365 0.000 0.365
Mn7 0.500 0.000 0.000
Mn8 0.500 0.272 0.772
Mn9 0.500 0.500 0.500
Mn10 0.500 0.728 0.228
Mn11 0.635 0.000 0.635
Mn12 0.728 0.500 0.228

Principal peaks in the range 5 to 70 degrees two-theta, by intensity:
two_theta	Rel. int.
44.09	100
44.50	74
43.95	57
30.87	50
37.98	46
38.44	18
49.96	18
34.42	16
64.33	13
64.02	12

TmMnZn17: theoretical X-ray powder pattern (a wavelength of 1.5418 Å), based on DFT lattice parameters and positions (GGA-PBE).

Unit cell a=6.754 b=6.754 c=6.754 alpha=81.91 beta=81.91 gamma=81.91
Fractional positions:
Tm1 0.000 0.000 0.000
Mn1 0.726 0.726 0.726
Zn1 0.020 0.347 0.643
Zn2 0.020 0.643 0.347
Zn3 0.178 0.686 0.686
Zn4 0.239 0.239 0.239
Zn5 0.327 0.327 0.840
Zn6 0.327 0.840 0.327
Zn7 0.347 0.020 0.643
Zn8 0.347 0.643 0.020
Zn9 0.441 0.441 0.441
Zn10 0.507 0.989 0.989
Zn11 0.643 0.020 0.347
Zn12 0.643 0.347 0.020
Zn13 0.686 0.178 0.686
Zn14 0.686 0.686 0.178
Zn15 0.840 0.327 0.327
Zn16 0.989 0.507 0.989
Zn17 0.989 0.989 0.507

Principal peaks in the range 5 to 70 degrees two-theta, by intensity:
two_theta	Rel. int.
40.79	100
45.88	46
35.11	26
35.84	20
40.89	20
41.42	20
66.85	12
59.09	9
13.34	8
29.39	7

U6Mn: theoretical X-ray powder pattern (a wavelength of 1.5418 Å), based on DFT lattice parameters and positions (GGA-PBE).

Unit cell a=7.642 b=7.642 c=7.642 alpha=96.85 beta=96.85 gamma=139.59
Fractional positions:
U1 0.093 0.593 0.687
U2 0.099 0.218 0.317
U3 0.218 0.901 0.120
U4 0.282 0.401 0.683
U5 0.401 0.718 0.120
U6 0.407 0.093 0.500
U7 0.593 0.907 0.500
U8 0.599 0.282 0.880
U9 0.718 0.599 0.317
U10 0.782 0.099 0.880
U11 0.901 0.782 0.683
U12 0.907 0.407 0.313
Mn1 0.250 0.250 0.000
Mn2 0.750 0.750 0.000

Principal peaks in the range 5 to 70 degrees two-theta, by intensity:
two_theta	Rel. int.
36.18	100
33.96	28
62.23	21
58.04	13
45.61	12
65.58	11
54.26	8
65.02	7
40.45	7
39.74	6